[1]
This entry pairs a crystal structure of PrH8Pt2 with its calculated powder XRD pattern. Radiation: CuKα. Structure: a GGA-PBE-relaxed structure.
Peak positions follow from Bragg's law for the DFT cell and can differ from measured ones.

Largest 12 diffraction maxima, sorted by position, 2θ = 10–90°:
2θ/deg  I/Imax
17.86  24
21.33  22
27.49  17
32.98  100
36.18  19
39.27  30
54.45  25
56.75  11
63.05  16
67.22  26
69.17  12
89.88  19

Cell and atoms:
Cell lengths 5.9318, 5.9318, 5.9318 Å; angles 134.49, 134.49, 66.32 degrees
Sites, in units of the cell vectors:
Pr 0.0000 0.0000 0.0000
H 0.1156 0.1156 0.5485
H 0.1156 0.5671 0.0000
H 0.4329 0.4329 0.5485
H 0.4329 0.8844 0.0000
H 0.5671 0.1156 0.0000
H 0.5671 0.5671 0.4515
H 0.8844 0.4329 0.0000
H 0.8844 0.8844 0.4515
Pt 0.2500 0.7500 0.5000
Pt 0.7500 0.2500 0.5000

***

[2]
This entry pairs a crystal structure of Pu3ThP4 with its calculated powder XRD pattern. Radiation: CuKα. Structure: a GGA-PBE-relaxed structure.
Peak positions follow from Bragg's law for the DFT cell and can differ from measured ones.

Largest 10 diffraction maxima, sorted by position, 2θ = 10–90°:
2θ/deg  I/Imax
26.91  100
31.17  90
44.67  68
52.92  51
55.47  24
65.01  11
71.69  21
73.86  32
82.32  24
88.54  17

Cell and atoms:
Cell lengths 5.7384, 5.7384, 5.7384 Å; angles 90.00, 90.00, 90.00 degrees
Sites, in units of the cell vectors:
Pu 0.0000 0.0000 0.5000
Pu 0.0000 0.5000 0.0000
Pu 0.5000 0.0000 0.0000
Th 0.5000 0.5000 0.5000
P 0.0000 0.0000 0.0000
P 0.0000 0.5000 0.5000
P 0.5000 0.0000 0.5000
P 0.5000 0.5000 0.0000

***

[3]
This entry pairs a crystal structure of Ba2Ga7Pd with its calculated powder XRD pattern. Radiation: CuKα. Structure: a GGA-PBE-relaxed structure.
Peak positions follow from Bragg's law for the DFT cell and can differ from measured ones.

Largest 12 diffraction maxima, sorted by position, 2θ = 10–90°:
2θ/deg  I/Imax
31.49  66
32.18  100
39.34  64
43.49  16
46.25  23
51.24  33
56.86  21
58.39  17
62.30  18
66.85  24
82.60  14
85.94  12

Cell and atoms:
Cell lengths 4.5802, 4.5802, 10.8633 Å; angles 90.00, 90.00, 90.00 degrees
Sites, in units of the cell vectors:
Ba 0.0000 0.5000 0.2485
Ba 0.5000 0.0000 0.7515
Ga 0.0000 0.0000 0.0000
Ga 0.0000 0.0000 0.5000
Ga 0.0000 0.5000 0.6322
Ga 0.0000 0.5000 0.8808
Ga 0.5000 0.0000 0.1192
Ga 0.5000 0.0000 0.3678
Ga 0.5000 0.5000 0.5000
Pd 0.5000 0.5000 0.0000